Starting from a DFT-relaxed cell (PBE, the Materials Project), the powder X-ray diffraction pattern of Mg16Al12Tl was computed for CuKα.
Peak positions follow from Bragg's law for the DFT cell and can differ from measured ones.

Largest 10 diffraction maxima, in order of rising 2θ, 10 to 80 degrees two-theta:
Position (°2θ)	Rel. int.
11.8	100
16.7	23
20.6	40
26.5	18
26.7	18
31.7	24
35.8	62
36.0	50
36.1	53
40.1	32

Cell: 14.9203 14.9203 9.2496 Å, 90.00 90.00 120.00°
Space group R3m (No. 160, hexagonal axes)
One atom of each set of equivalent atoms:
Mg  0.0000  0.0000  0.0000
Mg  0.0394  0.3606  0.3575
Mg  0.1044  0.2088  0.4978
Mg  0.1037  0.5519  0.5494
Mg  0.2006  0.4013  0.1111
Al  0.0017  0.1871  0.1766
Al  0.1246  0.0623  0.6983
Al  0.2107  0.4214  0.6027
Tl  0.0000  0.0000  0.3437

---

Starting from a DFT-relaxed cell (PBE, the Materials Project), the powder X-ray diffraction pattern of Sr4LiCuC2O10 was computed for CuKα.
Peak positions follow from Bragg's law for the DFT cell and can differ from measured ones.

Largest 10 diffraction maxima, in order of rising 2θ, 10 to 80 degrees two-theta:
Position (°2θ)	Rel. int.
11.9	14
22.5	26
24.0	16
32.1	48
33.2	100
40.5	45
43.2	13
46.0	31
57.9	31
69.6	12

Cell: 5.5774 5.5774 14.8309 Å, 90.00 90.00 90.00°
Space group I-42m (No. 121)
One atom of each set of equivalent atoms:
Sr  0.0000  0.5000  0.1135
Li  0.0000  0.0000  0.0000
Cu  0.0000  0.0000  0.5000
C  0.0000  0.0000  0.2367
O  0.0000  0.0000  0.1483
O  0.1438  0.1438  0.7209
O  0.2349  0.2349  0.4984

---

What is the formula in the second record?
Sr4LiCuC2O10